Computed X-ray powder pattern of Ce3ZrB2N6 for Cu Kα (weighted mean of Kα1 and Kα2), from a DFT-relaxed cell (GGA-PBE, Alexandria).
No peak broadening, texture or thermal motion is included.

Principal peaks in the range 2θ from 10° to 90°, by intensity:
Position (°2θ), Rel. int.
32.5, 100
34.1, 90
23.4, 70
47.8, 45
40.4, 35
59.0, 35
57.9, 19
52.7, 19
55.0, 17
78.3, 16

Atomic structure:
a b c (Å): 5.5179 5.5179 6.2916
angles (deg): 90.00 90.00 120.00
Positions (direct):
1 Ce 0.0000 0.0000 0.0000
2 Ce 0.3333 0.6667 0.6599
3 Ce 0.6667 0.3333 0.3401
4 Zr 0.0000 0.0000 0.5000
5 B 0.3333 0.6667 0.2500
6 B 0.6667 0.3333 0.7500
7 N 0.1815 0.3631 0.2832
8 N 0.1815 0.8185 0.2832
9 N 0.3631 0.1815 0.7168
10 N 0.6369 0.8185 0.2832
11 N 0.8185 0.1815 0.7168
12 N 0.8185 0.6369 0.7168

Computed X-ray powder pattern of CeNdB12 for Cu Kα (weighted mean of Kα1 and Kα2), from a DFT-relaxed cell (GGA-PBE, Alexandria).
No peak broadening, texture or thermal motion is included.

Principal peaks in the range 2θ from 10° to 90°, by intensity:
Position (°2θ), Rel. int.
30.6, 100
21.5, 65
49.4, 50
37.8, 42
68.2, 28
54.5, 27
43.9, 22
72.4, 20
88.7, 18
76.6, 13

Atomic structure:
a b c (Å): 4.1265 4.1265 8.2563
angles (deg): 90.00 90.00 90.00
Positions (direct):
1 Ce 0.0000 0.0000 0.0000
2 Nd 0.0000 0.0000 0.5000
3 B 0.1992 0.5000 0.2496
4 B 0.1992 0.5000 0.7504
5 B 0.5000 0.1992 0.2496
6 B 0.5000 0.1992 0.7504
7 B 0.5000 0.5000 0.0994
8 B 0.5000 0.5000 0.4003
9 B 0.5000 0.5000 0.5997
10 B 0.5000 0.5000 0.9006
11 B 0.5000 0.8008 0.2496
12 B 0.5000 0.8008 0.7504
13 B 0.8008 0.5000 0.2496
14 B 0.8008 0.5000 0.7504

Computed X-ray powder pattern of CeNi4B4 for Cu Kα (weighted mean of Kα1 and Kα2), from a DFT-relaxed cell (GGA-PBE, Alexandria).
No peak broadening, texture or thermal motion is included.

Principal peaks in the range 2θ from 10° to 90°, by intensity:
Position (°2θ), Rel. int.
41.7, 100
41.9, 59
35.4, 47
37.6, 38
67.9, 36
24.8, 26
30.6, 25
75.0, 24
47.4, 20
57.4, 19

Atomic structure:
a b c (Å): 5.0758 5.0758 7.1494
angles (deg): 90.00 90.00 90.00
Positions (direct):
1 Ce 0.2500 0.7500 0.2500
2 Ce 0.7500 0.2500 0.7500
3 Ni 0.0010 0.2500 0.1147
4 Ni 0.2500 0.0010 0.6147
5 Ni 0.2500 0.4990 0.6147
6 Ni 0.4990 0.2500 0.1147
7 Ni 0.5010 0.7500 0.8853
8 Ni 0.7500 0.5010 0.3853
9 Ni 0.7500 0.9990 0.3853
10 Ni 0.9990 0.7500 0.8853
11 B 0.0810 0.2500 0.4098
12 B 0.2500 0.0810 0.9098
13 B 0.2500 0.4190 0.9098
14 B 0.4190 0.2500 0.4098
15 B 0.5810 0.7500 0.5902
16 B 0.7500 0.5810 0.0902
17 B 0.7500 0.9190 0.0902
18 B 0.9190 0.7500 0.5902

Computed X-ray powder pattern of CeNi5B3 for Cu Kα (weighted mean of Kα1 and Kα2), from a DFT-relaxed cell (GGA-PBE, Alexandria).
No peak broadening, texture or thermal motion is included.

Principal peaks in the range 2θ from 10° to 90°, by intensity:
Position (°2θ), Rel. int.
37.3, 100
29.6, 61
43.5, 55
36.4, 40
40.1, 32
54.3, 28
37.1, 26
28.8, 24
34.1, 22
50.0, 20

Atomic structure:
a b c (Å): 5.6750 5.6750 10.8936
angles (deg): 90.00 90.00 145.33
Positions (direct):
1 Ce 0.1565 0.8435 0.7500
2 Ce 0.8435 0.1565 0.2500
3 Ni 0.0000 0.0000 0.0000
4 Ni 0.0000 0.0000 0.5000
5 Ni 0.2050 0.7950 0.0692
6 Ni 0.2050 0.7950 0.4308
7 Ni 0.4433 0.5567 0.6443
8 Ni 0.4433 0.5567 0.8557
9 Ni 0.5567 0.4433 0.1443
10 Ni 0.5567 0.4433 0.3557
11 Ni 0.7950 0.2050 0.5692
12 Ni 0.7950 0.2050 0.9308
13 B 0.1124 0.8876 0.2500
14 B 0.3861 0.6139 0.0332
15 B 0.3861 0.6139 0.4668
16 B 0.6139 0.3861 0.5332
17 B 0.6139 0.3861 0.9668
18 B 0.8876 0.1124 0.7500

Computed X-ray powder pattern of CeNi3B for Cu Kα (weighted mean of Kα1 and Kα2), from a DFT-relaxed cell (GGA-PBE, Alexandria).
No peak broadening, texture or thermal motion is included.

Principal peaks in the range 2θ from 10° to 90°, by intensity:
Position (°2θ), Rel. int.
42.7, 100
38.9, 91
24.4, 54
38.8, 53
35.1, 53
53.3, 41
29.9, 27
43.1, 21
85.8, 21
75.8, 19

Atomic structure:
a b c (Å): 5.1179 5.1964 5.1939
angles (deg): 90.00 90.03 90.00
Positions (direct):
1 Ce 0.0000 0.0000 0.0000
2 Ce 0.4982 0.5000 0.2853
3 Ni 0.1005 0.5000 0.9369
4 Ni 0.4680 0.2423 0.7588
5 Ni 0.4680 0.7577 0.7588
6 Ni 0.5982 0.0000 0.3445
7 Ni 0.9659 0.2564 0.5258
8 Ni 0.9659 0.7436 0.5258
9 B 0.2578 0.0000 0.5087
10 B 0.7585 0.5000 0.7764

Computed X-ray powder pattern of CeNiB4 for Cu Kα (weighted mean of Kα1 and Kα2), from a DFT-relaxed cell (GGA-PBE, Alexandria).
No peak broadening, texture or thermal motion is included.

Principal peaks in the range 2θ from 10° to 90°, by intensity:
Position (°2θ), Rel. int.
39.5, 100
31.4, 77
23.4, 67
47.8, 33
33.4, 30
58.3, 23
28.2, 23
83.3, 19
53.8, 18
44.1, 17

Atomic structure:
a b c (Å): 6.8881 6.8881 6.8881
angles (deg): 112.86 112.86 102.90
Positions (direct):
1 Ce 0.2008 0.2008 0.0000
2 Ce 0.2500 0.7500 0.5000
3 Ce 0.7500 0.2500 0.5000
4 Ce 0.7992 0.7992 0.0000
5 Ni 0.2719 0.5000 0.7719
6 Ni 0.5000 0.2719 0.7719
7 Ni 0.5000 0.7281 0.2281
8 Ni 0.7281 0.5000 0.2281
9 B 0.1112 0.2744 0.3855
10 B 0.1112 0.7256 0.8368
11 B 0.1127 0.1127 0.5310
12 B 0.1127 0.5817 0.0000
13 B 0.2744 0.1112 0.3855
14 B 0.2744 0.8888 0.1632
15 B 0.4183 0.4183 0.5310
16 B 0.4183 0.8873 0.0000
17 B 0.5817 0.1127 0.0000
18 B 0.5817 0.5817 0.4690
19 B 0.7256 0.1112 0.8368
20 B 0.7256 0.8888 0.6145
21 B 0.8873 0.4183 0.0000
22 B 0.8873 0.8873 0.4690
23 B 0.8888 0.2744 0.1632
24 B 0.8888 0.7256 0.6145

Computed X-ray powder pattern of CeNi3B for Cu Kα (weighted mean of Kα1 and Kα2), from a DFT-relaxed cell (GGA-PBE, Alexandria).
No peak broadening, texture or thermal motion is included.

Principal peaks in the range 2θ from 10° to 90°, by intensity:
Position (°2θ), Rel. int.
35.1, 100
42.3, 54
46.4, 32
42.0, 28
46.6, 18
74.2, 17
20.8, 15
64.5, 12
64.4, 11
64.8, 10

Atomic structure:
a b c (Å): 5.8944 5.8944 5.8944
angles (deg): 130.62 114.45 86.28
Positions (direct):
1 Ce 0.0000 0.0000 0.0000
2 Ce 0.5000 0.0000 0.5000
3 Ni 0.0000 0.0000 0.5000
4 Ni 0.0000 0.5000 0.0000
5 Ni 0.2826 0.5000 0.7826
6 Ni 0.5000 0.0000 0.0000
7 Ni 0.5000 0.5000 0.5000
8 Ni 0.7174 0.5000 0.2174
9 B 0.3215 0.3215 0.0000
10 B 0.6785 0.6785 0.0000

Computed X-ray powder pattern of CeNi22B6 for Cu Kα (weighted mean of Kα1 and Kα2), from a DFT-relaxed cell (GGA-PBE, Alexandria).
No peak broadening, texture or thermal motion is included.

Principal peaks in the range 2θ from 10° to 90°, by intensity:
Position (°2θ), Rel. int.
44.4, 100
41.8, 33
48.6, 23
76.3, 22
78.1, 14
51.8, 13
51.0, 13
38.0, 11
27.9, 8
14.5, 6

Atomic structure:
a b c (Å): 7.4905 7.4905 7.4905
angles (deg): 60.00 60.00 60.00
Positions (direct):
1 Ce 0.0000 0.0000 0.0000
2 Ni 0.0000 0.0000 0.3442
3 Ni 0.0000 0.0000 0.6558
4 Ni 0.0000 0.3442 0.0000
5 Ni 0.0000 0.3442 0.6558
6 Ni 0.0000 0.6558 0.0000
7 Ni 0.0000 0.6558 0.3442
8 Ni 0.1480 0.6173 0.6173
9 Ni 0.2500 0.2500 0.2500
10 Ni 0.3442 0.0000 0.0000
11 Ni 0.3442 0.0000 0.6558
12 Ni 0.3442 0.6558 0.0000
13 Ni 0.3827 0.3827 0.3827
14 Ni 0.3827 0.3827 0.8520
15 Ni 0.3827 0.8520 0.3827
16 Ni 0.6173 0.1480 0.6173
17 Ni 0.6173 0.6173 0.1480
18 Ni 0.6173 0.6173 0.6173
19 Ni 0.6558 0.0000 0.0000
20 Ni 0.6558 0.0000 0.3442
21 Ni 0.6558 0.3442 0.0000
22 Ni 0.7500 0.7500 0.7500
23 Ni 0.8520 0.3827 0.3827
24 B 0.2750 0.2750 0.7250
25 B 0.2750 0.7250 0.2750
26 B 0.2750 0.7250 0.7250
27 B 0.7250 0.2750 0.2750
28 B 0.7250 0.2750 0.7250
29 B 0.7250 0.7250 0.2750

Computed X-ray powder pattern of Ce2Ni2BRh4 for Cu Kα (weighted mean of Kα1 and Kα2), from a DFT-relaxed cell (GGA-PBE, Alexandria).
No peak broadening, texture or thermal motion is included.

Principal peaks in the range 2θ from 10° to 90°, by intensity:
Position (°2θ), Rel. int.
38.2, 100
43.8, 35
76.7, 25
65.1, 21
45.6, 16
79.4, 11
63.6, 11
81.8, 11
31.2, 6
21.5, 6

Atomic structure:
a b c (Å): 5.7372 5.7372 5.7372
angles (deg): 118.71 118.71 92.24
Positions (direct):
1 Ce 0.2500 0.7500 0.5000
2 Ce 0.7500 0.2500 0.5000
3 Ni 0.2446 0.2446 0.0000
4 Ni 0.7554 0.7554 0.0000
5 B 0.5000 0.5000 0.0000
6 Rh 0.2436 0.2436 0.4872
7 Rh 0.2436 0.7564 0.0000
8 Rh 0.7564 0.2436 0.0000
9 Rh 0.7564 0.7564 0.5128

Computed X-ray powder pattern of CeSiNi6B for Cu Kα (weighted mean of Kα1 and Kα2), from a DFT-relaxed cell (GGA-PBE, Alexandria).
No peak broadening, texture or thermal motion is included.

Principal peaks in the range 2θ from 10° to 90°, by intensity:
Position (°2θ), Rel. int.
37.8, 100
52.6, 48
40.2, 42
46.6, 35
38.2, 29
33.2, 26
30.2, 25
42.4, 20
14.3, 18
80.8, 15

Atomic structure:
a b c (Å): 7.0821 7.0821 7.0821
angles (deg): 129.85 113.20 88.01
Positions (direct):
1 Ce 0.4298 0.1798 0.2500
2 Ce 0.5702 0.8202 0.7500
3 Si 0.0000 0.0000 0.5000
4 Si 0.0000 0.5000 0.0000
5 Ni 0.1129 0.3837 0.2497
6 Ni 0.1129 0.8632 0.7292
7 Ni 0.1674 0.9174 0.2500
8 Ni 0.2856 0.5356 0.7500
9 Ni 0.3660 0.1368 0.7497
10 Ni 0.3660 0.6163 0.2292
11 Ni 0.6340 0.3837 0.7708
12 Ni 0.6340 0.8632 0.2503
13 Ni 0.7144 0.4644 0.2500
14 Ni 0.8326 0.0826 0.7500
15 Ni 0.8871 0.1368 0.2708
16 Ni 0.8871 0.6163 0.7503
17 B 0.0000 0.5000 0.5000
18 B 0.5000 0.5000 0.0000

Computed X-ray powder pattern of CeB3O6 for Cu Kα (weighted mean of Kα1 and Kα2), from a DFT-relaxed cell (GGA-PBE, Alexandria).
No peak broadening, texture or thermal motion is included.

Principal peaks in the range 2θ from 10° to 90°, by intensity:
Position (°2θ), Rel. int.
17.4, 100
31.4, 59
43.1, 58
27.4, 51
27.8, 47
22.4, 42
21.7, 42
29.1, 31
47.8, 28
28.4, 28

Atomic structure:
a b c (Å): 6.4562 6.4562 6.5250
angles (deg): 117.86 117.86 78.77
Positions (direct):
1 Ce 0.2021 0.7979 0.7500
2 Ce 0.7979 0.2021 0.2500
3 B 0.2050 0.3414 0.9178
4 B 0.2221 0.7779 0.2500
5 B 0.3414 0.2050 0.4178
6 B 0.6586 0.7950 0.5822
7 B 0.7779 0.2221 0.7500
8 B 0.7950 0.6586 0.0822
9 O 0.0087 0.7806 0.2857
10 O 0.2111 0.3840 0.5006
11 O 0.2117 0.5840 0.0096
12 O 0.2194 0.9913 0.2143
13 O 0.3840 0.2111 0.0006
14 O 0.4160 0.7883 0.4904
15 O 0.5840 0.2117 0.5096
16 O 0.6160 0.7889 0.9994
17 O 0.7806 0.0087 0.7857
18 O 0.7883 0.4160 0.9904
19 O 0.7889 0.6160 0.4994
20 O 0.9913 0.2194 0.7143